Record 1
# RbUF5
Simulated powder X-ray diffraction pattern, Cu Ka. Input: a crystal structure in the Materials Project, relaxed with PBE.
No peak broadening, texture or thermal motion is included.

Cell and atoms:
```
data_RbUF5
_cell_length_a 8.309
_cell_length_b 13.870
_cell_length_c 8.421
_cell_angle_alpha 90.00
_cell_angle_beta 102.60
_cell_angle_gamma 90.00
_symmetry_space_group_name_H-M 'P 1 21/c 1'
_symmetry_Int_Tables_number 14
loop_
_symmetry_equiv_pos_as_xyz
'x,y,z'
'-x,-y,-z'
'-x,y+1/2,-z+1/2'
'x,-y+1/2,z+1/2'
loop_
_atom_site_label
_atom_site_fract_x
_atom_site_fract_y
_atom_site_fract_z
Rb1 0.220 0.018 0.293
Rb2 0.271 0.019 0.770
U1 0.054 0.747 0.543
U2 0.483 0.745 0.409
F1 0.019 0.600 0.996
F2 0.028 0.102 0.919
F3 0.031 0.196 0.227
F4 0.213 0.689 0.814
F5 0.229 0.236 0.524
F6 0.274 0.650 0.487
F7 0.324 0.682 0.148
F8 0.420 0.209 0.818
F9 0.434 0.098 0.110
F10 0.482 0.100 0.561
```

The 10 most intense peaks (10 to 80 degrees two-theta), in order of falling intensity:
3.499 Å, I 100, hkl 2 2 0; 6.935 Å, I 98, hkl 0 2 0; 3.535 Å, I 60, hkl 0 2 2; 3.467 Å, I 52, hkl 0 4 0; 3.284 Å, I 45, hkl 1 1 2; 3.264 Å, I 33, hkl 2 0 -2; 2.008 Å, I 31, hkl 2 6 0; 3.879 Å, I 28, hkl 1 1 -2; 2.377 Å, I 27, hkl 2 4 -2; 2.039 Å, I 20, hkl 3 1 2

---

Record 2
# RbU3F13
Simulated powder X-ray diffraction pattern, Cu Ka. Input: a crystal structure in the Materials Project, relaxed with PBE.
No peak broadening, texture or thermal motion is included.

Cell and atoms:
```
data_RbU3F13
_cell_length_a 8.103
_cell_length_b 7.396
_cell_length_c 8.525
_cell_angle_alpha 90.00
_cell_angle_beta 90.00
_cell_angle_gamma 90.00
_symmetry_space_group_name_H-M 'P m c 21'
_symmetry_Int_Tables_number 26
loop_
_symmetry_equiv_pos_as_xyz
'x,y,z'
'-x,-y,z+1/2'
'-x,y,z'
'x,-y,z+1/2'
loop_
_atom_site_label
_atom_site_fract_x
_atom_site_fract_y
_atom_site_fract_z
Rb1 0.000 0.104 0.000
U1 0.247 0.397 0.642
U2 0.500 0.110 0.304
F1 0.000 0.229 0.674
F2 0.000 0.438 0.150
F3 0.197 0.451 0.896
F4 0.241 0.182 0.445
F5 0.306 0.111 0.758
F6 0.329 0.309 0.165
F7 0.500 0.032 0.033
F8 0.500 0.362 0.480
F9 0.500 0.398 0.763
```

The 10 most intense peaks (10 to 80 degrees two-theta), in order of falling intensity:
3.553 Å, I 100, hkl 2 1 0; 3.392 Å, I 85, hkl 0 2 1; 2.046 Å, I 82, hkl 2 3 1; 1.969 Å, I 80, hkl 2 2 3; 3.693 Å, I 74, hkl 0 1 2; 3.280 Å, I 67, hkl 2 1 1; 2.937 Å, I 48, hkl 2 0 2; 5.586 Å, I 37, hkl 0 1 1; 4.599 Å, I 35, hkl 1 1 1; 1.886 Å, I 33, hkl 2 0 4

---

Record 3
# Rb3YF6
Simulated powder X-ray diffraction pattern, Cu Ka. Input: a crystal structure in the Materials Project, relaxed with PBE.
No peak broadening, texture or thermal motion is included.

Cell and atoms:
```
data_Rb3YF6
_cell_length_a 7.174
_cell_length_b 7.174
_cell_length_c 9.646
_cell_angle_alpha 90.00
_cell_angle_beta 90.00
_cell_angle_gamma 90.00
_symmetry_space_group_name_H-M 'I 4/m m m'
_symmetry_Int_Tables_number 139
_symmetry_space_group_name_Hall '-I 4 2'
loop_
_atom_site_label
_atom_site_fract_x
_atom_site_fract_y
_atom_site_fract_z
Rb1 0.000 0.000 0.000
Rb2 0.000 0.500 0.250
Y1 0.000 0.000 0.500
F1 0.000 0.000 0.270
F2 0.000 0.304 0.500
```

The 10 most intense peaks (10 to 80 degrees two-theta), in order of falling intensity:
3.587 Å, I 100, hkl 2 0 0; 3.495 Å, I 93, hkl 1 1 2; 2.053 Å, I 57, hkl 3 1 2; 2.001 Å, I 36, hkl 2 0 4; 2.536 Å, I 26, hkl 2 2 0; 2.412 Å, I 22, hkl 0 0 4; 1.748 Å, I 16, hkl 2 2 4; 1.336 Å, I 16, hkl 4 2 4; 1.596 Å, I 16, hkl 3 3 2; 1.604 Å, I 15, hkl 4 2 0